For Pr9Sm2Ho, DFT lattice parameters and positions (GGA-PBE) gives the calculated X-ray diffraction stick pattern in this record (Cu Ka).
Kinematic intensities with the Lorentz-polarization factor, no thermal factor.

Structure:
```
data_Pr9Sm2Ho
_space_group_name_H-M_alt 'P 1'
_space_group_IT_number 1
_cell_length_a 5.208
_cell_length_b 5.208
_cell_length_c 15.625
_cell_angle_alpha 90.00
_cell_angle_beta 90.00
_cell_angle_gamma 90.00
loop_
_space_group_symop_operation_xyz
'x,y,z'
loop_
_atom_site_label
_atom_site_fract_x
_atom_site_fract_y
_atom_site_fract_z
_atom_site_occupancy
Pr1 0.000 0.000 0.000 1
Pr2 0.000 0.000 0.333 1
Pr3 0.000 0.000 0.667 1
Pr4 0.000 0.500 0.165 1
Pr5 0.000 0.500 0.500 1
Pr6 0.000 0.500 0.835 1
Pr7 0.500 0.000 0.165 1
Pr8 0.500 0.000 0.500 1
Pr9 0.500 0.000 0.835 1
Sm1 0.500 0.500 0.332 1
Sm2 0.500 0.500 0.668 1
Ho1 0.500 0.500 0.000 1
```

The 8 most intense peaks (10° ≤ 2θ ≤ 90°), sorted by position:
2θ (°), Rel. int., hkl
29.71, 100, 1 1 3
34.44, 51, 2 0 0
49.50, 36, 2 2 0
58.81, 43, 3 1 3
61.70, 12, 2 2 6
72.61, 6, 4 0 0
80.37, 18, 3 3 3
82.90, 16, 4 2 0